[1]
# Ho2Ni12P7
Computed powder X-ray diffraction pattern, Cu Kα. Input: a structure optimized by DFT (GGA-PBE).
No peak broadening, texture or thermal motion is included.

Largest 12 diffraction maxima, by intensity, 2θ = 5–70°:
2θ 39.14, d = 2.302 Å, intensity 100, hkl 1 2 1
2θ 49.57, d = 1.839 Å, intensity 17, hkl 0 0 2
2θ 53.81, d = 1.704 Å, intensity 17, hkl 4 1 0
2θ 26.79, d = 3.327 Å, intensity 11, hkl 1 0 1
2θ 57.21, d = 1.610 Å, intensity 11, hkl 2 3 1
2θ 30.29, d = 2.951 Å, intensity 10, hkl 1 2 0
2θ 34.47, d = 2.602 Å, intensity 9, hkl 3 0 0
2θ 48.81, d = 1.866 Å, intensity 9, hkl 1 3 1
2θ 46.53, d = 1.952 Å, intensity 9, hkl 4 0 0
2θ 41.72, d = 2.165 Å, intensity 9, hkl 3 1 0
2θ 68.53, d = 1.369 Å, intensity 9, hkl 4 2 1
2θ 40.01, d = 2.254 Å, intensity 9, hkl 2 2 0

Atomic structure:
```
data_Ho2Ni12P7
_cell_length_a 9.0144
_cell_length_b 9.0144
_cell_length_c 3.6781
_cell_angle_alpha 90.00
_cell_angle_beta 90.00
_cell_angle_gamma 120.00
_space_group_name_H-M_alt 'P -6'
_space_group_IT_number 174
_space_group_name_Hall 'P -6'
loop_
_atom_site_label
_atom_site_fract_x
_atom_site_fract_y
_atom_site_fract_z
_atom_site_occupancy
Ho1 0.0000 0.0000 0.0000 1
Ho2 0.3333 0.6667 0.5000 1
Ni1 0.0402 0.7678 0.5000 1
Ni2 0.0973 0.3821 0.0000 1
Ni3 0.4510 0.2392 0.0000 1
Ni4 0.5146 0.0590 0.5000 1
P1 0.0721 0.6278 0.0000 1
P2 0.2592 0.0391 0.5000 1
P3 0.6667 0.3333 0.5000 1
```

[2]
# Ho5Ni19P12
Computed powder X-ray diffraction pattern, Cu Kα. Input: a structure optimized by DFT (GGA-PBE).
No peak broadening, texture or thermal motion is included.

Largest 12 diffraction maxima, by intensity, 2θ = 5–70°:
2θ 38.43, d = 2.342 Å, intensity 100, hkl 2 2 1
2θ 39.43, d = 2.285 Å, intensity 26, hkl 3 1 1
2θ 48.91, d = 1.862 Å, intensity 22, hkl 0 0 2
2θ 39.58, d = 2.277 Å, intensity 21, hkl 4 1 0
2θ 52.62, d = 1.739 Å, intensity 18, hkl 6 0 0
2θ 29.65, d = 3.012 Å, intensity 12, hkl 2 2 0
2θ 35.30, d = 2.542 Å, intensity 11, hkl 3 0 1
2θ 28.17, d = 3.168 Å, intensity 10, hkl 1 1 1
2θ 64.65, d = 1.442 Å, intensity 10, hkl 4 1 2
2θ 51.71, d = 1.768 Å, intensity 9, hkl 3 3 1
2θ 25.39, d = 3.508 Å, intensity 8, hkl 1 0 1
2θ 59.30, d = 1.558 Å, intensity 8, hkl 4 3 1

Atomic structure:
```
data_Ho5Ni19P12
_cell_length_a 12.0500
_cell_length_b 12.0500
_cell_length_c 3.7248
_cell_angle_alpha 90.00
_cell_angle_beta 90.00
_cell_angle_gamma 120.00
_space_group_name_H-M_alt 'P -6 2 m'
_space_group_IT_number 189
_space_group_name_Hall 'P -6 -2'
loop_
_atom_site_label
_atom_site_fract_x
_atom_site_fract_y
_atom_site_fract_z
_atom_site_occupancy
Ho1 0.0000 0.8120 0.0000 1
Ho2 0.3333 0.6667 0.5000 1
Ni1 0.0000 0.0000 0.5000 1
Ni2 0.0000 0.2842 0.0000 1
Ni3 0.0000 0.4471 0.5000 1
Ni4 0.1252 0.6398 0.0000 1
Ni5 0.1824 0.3799 0.5000 1
P1 0.0000 0.1781 0.5000 1
P2 0.0000 0.6326 0.5000 1
P3 0.1665 0.4794 0.0000 1
```

[3]
# SmHoNi2P2
Computed powder X-ray diffraction pattern, Cu Kα. Input: a structure optimized by DFT (GGA-PBE).
No peak broadening, texture or thermal motion is included.

Largest 12 diffraction maxima, by intensity, 2θ = 5–70°:
2θ 35.04, d = 2.561 Å, intensity 100, hkl 1 0 2
2θ 46.50, d = 1.953 Å, intensity 34, hkl 1 1 0
2θ 26.35, d = 3.383 Å, intensity 29, hkl 1 0 0
2θ 67.74, d = 1.383 Å, intensity 21, hkl 1 1 4
2θ 59.53, d = 1.553 Å, intensity 21, hkl 0 2 2
2θ 46.34, d = 1.959 Å, intensity 11, hkl 0 0 4
2θ 54.09, d = 1.696 Å, intensity 9, hkl 0 1 4
2θ 54.23, d = 1.691 Å, intensity 4, hkl 2 0 0
2θ 22.69, d = 3.919 Å, intensity 4, hkl 0 0 2
2θ 28.74, d = 3.106 Å, intensity 4, hkl 1 0 1
2θ 52.34, d = 1.748 Å, intensity 3, hkl 1 1 2
2θ 43.78, d = 2.068 Å, intensity 1, hkl 0 1 3

Atomic structure:
```
data_SmHoNi2P2
_cell_length_a 3.9059
_cell_length_b 3.9059
_cell_length_c 7.8379
_cell_angle_alpha 90.00
_cell_angle_beta 90.00
_cell_angle_gamma 120.00
_space_group_name_H-M_alt 'P -3 m 1'
_space_group_IT_number 164
_space_group_name_Hall '-P 3 2"'
loop_
_atom_site_label
_atom_site_fract_x
_atom_site_fract_y
_atom_site_fract_z
_atom_site_occupancy
Sm1 0.0000 0.0000 0.0000 1
Ho1 0.0000 0.0000 0.5000 1
Ni1 0.3333 0.6667 0.2565 1
P1 0.3333 0.6667 0.7414 1
```

[4]
# TbHoNi2P2
Computed powder X-ray diffraction pattern, Cu Kα. Input: a structure optimized by DFT (GGA-PBE).
No peak broadening, texture or thermal motion is included.

Largest 12 diffraction maxima, by intensity, 2θ = 5–70°:
2θ 35.37, d = 2.538 Å, intensity 100, hkl 1 0 2
2θ 46.59, d = 1.949 Å, intensity 34, hkl 1 1 0
2θ 26.40, d = 3.376 Å, intensity 30, hkl 1 0 0
2θ 59.83, d = 1.546 Å, intensity 21, hkl 0 2 2
2θ 68.52, d = 1.369 Å, intensity 21, hkl 1 1 4
2θ 47.23, d = 1.924 Å, intensity 11, hkl 0 0 4
2θ 54.92, d = 1.672 Å, intensity 9, hkl 0 1 4
2θ 54.35, d = 1.688 Å, intensity 4, hkl 2 0 0
2θ 23.11, d = 3.849 Å, intensity 4, hkl 0 0 2
2θ 28.88, d = 3.092 Å, intensity 3, hkl 1 0 1
2θ 52.63, d = 1.739 Å, intensity 3, hkl 1 1 2
2θ 44.34, d = 2.043 Å, intensity 1, hkl 0 1 3

Atomic structure:
```
data_TbHoNi2P2
_cell_length_a 3.8985
_cell_length_b 3.8985
_cell_length_c 7.6972
_cell_angle_alpha 90.00
_cell_angle_beta 90.00
_cell_angle_gamma 120.00
_space_group_name_H-M_alt 'P -3 m 1'
_space_group_IT_number 164
_space_group_name_Hall '-P 3 2"'
loop_
_atom_site_label
_atom_site_fract_x
_atom_site_fract_y
_atom_site_fract_z
_atom_site_occupancy
Tb1 0.0000 0.0000 0.0000 1
Ho1 0.0000 0.0000 0.5000 1
Ni1 0.3333 0.6667 0.2519 1
P1 0.3333 0.6667 0.7478 1
```